1.
This entry pairs a crystal structure of CaSmB12 with its computed powder X-ray diffraction pattern. Radiation: a wavelength of 1.5418 Å. Structure: a PBE-relaxed structure.
No peak broadening, texture or thermal motion is included.

```
CaSmB12
1.0
4.131 0.000 0.000
0.000 4.131 0.000
0.000 0.000 8.269
Ca Sm B
1 1 12
Direct
0.000 0.000 0.000
0.000 0.000 0.500
0.200 0.500 0.250
0.200 0.500 0.750
0.500 0.200 0.250
0.500 0.200 0.750
0.500 0.500 0.101
0.500 0.500 0.400
0.500 0.500 0.600
0.500 0.500 0.899
0.500 0.800 0.250
0.500 0.800 0.750
0.800 0.500 0.250
0.800 0.500 0.750
```

Main lines, low angle first (2θ from 10° to 90°):
| Position (°2θ) | I (rel.) |
| --- | --- |
| 10.70 | 48 |
| 21.51 | 46 |
| 24.08 | 32 |
| 30.60 | 100 |
| 37.71 | 44 |
| 43.82 | 22 |
| 49.32 | 47 |
| 54.39 | 21 |
| 68.07 | 29 |
| 72.31 | 20 |

2.
This entry pairs a crystal structure of CdCu2B2O6 with its computed powder X-ray diffraction pattern. Radiation: a wavelength of 1.5418 Å. Structure: a PBE-relaxed structure.
No peak broadening, texture or thermal motion is included.

```
CdCu2B2O6
1.0
3.565 0.000 0.000
0.000 15.247 0.000
-0.937 0.000 9.473
Cd Cu B O
4 8 8 24
Direct
0.212 0.133 0.386
0.212 0.367 0.886
0.788 0.633 0.114
0.788 0.867 0.614
0.313 0.541 0.362
0.313 0.959 0.862
0.320 0.746 0.864
0.320 0.754 0.364
0.680 0.246 0.636
0.680 0.254 0.136
0.687 0.041 0.138
0.687 0.459 0.638
0.108 0.588 0.815
0.108 0.912 0.315
0.212 0.151 0.920
0.212 0.349 0.420
0.788 0.651 0.580
0.788 0.849 0.080
0.892 0.088 0.685
0.892 0.412 0.185
0.000 0.155 0.786
0.000 0.345 0.286
0.000 0.655 0.714
0.000 0.845 0.214
0.040 0.503 0.790
0.040 0.997 0.290
0.267 0.228 0.990
0.267 0.272 0.490
0.282 0.624 0.937
0.282 0.876 0.437
0.319 0.649 0.263
0.319 0.851 0.763
0.346 0.071 0.968
0.346 0.429 0.468
0.654 0.571 0.532
0.654 0.929 0.032
0.681 0.149 0.237
0.681 0.351 0.737
0.718 0.124 0.563
0.718 0.376 0.063
0.733 0.728 0.510
0.733 0.772 0.010
0.960 0.003 0.710
0.960 0.497 0.210
```

Main lines, low angle first (2θ from 10° to 90°):
| Position (°2θ) | I (rel.) |
| --- | --- |
| 14.92 | 66 |
| 19.82 | 57 |
| 29.94 | 100 |
| 30.53 | 29 |
| 30.68 | 21 |
| 32.99 | 59 |
| 35.00 | 80 |
| 38.95 | 35 |
| 53.58 | 21 |
| 57.46 | 22 |